Structure and calculated powder diffractogram of Be2CuSeO6 (a structure optimized by DFT (PBE); Cu Ka).
Lines closer than 0.1° are merged.

Unit cell a=9.406 b=7.975 c=5.640 alpha=90.00 beta=110.40 gamma=90.00
Space group C2/c (No. 15)
Symmetry-distinct sites (fractional):
Be 0.193 0.070 0.123 (multiplicity 8)
Cu 0.000 0.402 0.250 (multiplicity 4)
Se 0.000 0.230 0.750 (multiplicity 4)
O 0.074 0.226 0.088 (multiplicity 8)
O 0.126 0.404 0.722 (multiplicity 8)
O 0.150 0.070 0.803 (multiplicity 8)

Principal peaks in the range 2θ = 15–90°, low angle first:
(hkl)	2theta	I (rel.)
1 1 -1	19.73	387
2 0 0	20.14	1000
0 2 1	28.03	174
2 2 0	30.22	250
2 2 -1	31.01	343
2 0 -2	32.88	151
0 0 2	33.91	447
1 3 1	40.89	175
3 3 -1	45.17	456
5 3 -1	60.27	169